MgInCoAu: simulated XRD peak list (copper Kα), based on a crystal structure in OQMD, relaxed with GGA-PBE.

Most intense lines, 2θ from 10° to 90°, sorted by position:
23.8 deg, d 3.737, I 39
27.6 deg, d 3.236, I 11
39.4 deg, d 2.288, I 100
46.5 deg, d 1.951, I 21
56.9 deg, d 1.618, I 17
62.6 deg, d 1.485, I 9
71.4 deg, d 1.321, I 34
76.5 deg, d 1.246, I 7
84.7 deg, d 1.144, I 11
89.6 deg, d 1.094, I 8

Cell and atoms:
Cell lengths 4.5766, 4.5766, 4.5766 Å; angles 60.00, 60.00, 60.00 degrees
Fractional positions:
Mg (0.0000, 0.0000, 0.0000)
In (0.5000, 0.5000, 0.5000)
Co (0.7500, 0.7500, 0.7500)
Au (0.2500, 0.2500, 0.2500)